Simulated powder X-ray diffraction pattern
Compound: LiMnO2
Radiation: Cu Kα
Structure: a structure optimized by DFT (GGA+U)
Kinematic intensities with the Lorentz-polarization factor, no thermal factor.

Structure:
```
LiMnO2
1.0
2.8688 0.0000 0.0000
0.0000 4.6345 0.0000
0.0000 0.0000 5.8325
Li Mn O
2 2 4
direct
0.2500 0.2500 0.1202
0.7500 0.7500 0.8798
0.2500 0.2500 0.6367
0.7500 0.7500 0.3633
0.2500 0.7500 0.1392
0.2500 0.7500 0.5985
0.7500 0.2500 0.4015
0.7500 0.2500 0.8608
```

Top 10 peaks for 10 to 80 degrees two-theta, low angle first:
| 2theta | Rel. int. | (hkl) |
| --- | --- | --- |
| 15.2 | 100 | 0 0 1 |
| 24.5 | 88 | 0 1 1 |
| 34.9 | 25 | 1 0 1 |
| 36.4 | 14 | 0 1 2 |
| 38.9 | 61 | 0 2 0 |
| 40.1 | 23 | 1 1 1 |
| 42.0 | 14 | 0 2 1 |
| 44.3 | 77 | 1 0 2 |
| 60.4 | 53 | 1 2 2 |
| 60.9 | 18 | 1 1 3 |